Record 1
# Lu2FeIr4C4
Simulated X-ray powder pattern, CuKα. Input: a cell relaxed with GGA-PBE.

Crystal structure
```
Lu2FeIr4C4
1.0
0.000 4.742 5.488
2.687 0.000 5.488
2.687 4.742 0.000
Lu Fe Ir C
2 1 4 4
Cartesian
2.687 4.742 1.620
2.687 4.742 9.357
2.687 4.742 5.488
1.343 2.371 0.000
1.343 2.371 2.744
1.343 2.371 5.488
4.030 7.113 8.232
2.687 3.401 4.071
2.687 3.401 6.905
2.687 6.082 4.071
2.687 6.082 6.905
```

Main lines, in order of rising 2θ (2θ = 15–90°):
- 18.71°, 4.742 Å, I 23
- 31.04°, 2.881 Å, I 28
- 37.91°, 2.373 Å, I 100
- 38.51°, 2.338 Å, I 80
- 41.31°, 2.185 Å, I 17
- 47.35°, 1.920 Å, I 35
- 51.36°, 1.779 Å, I 19
- 62.22°, 1.492 Å, I 28
- 68.51°, 1.370 Å, I 12
- 68.93°, 1.362 Å, I 15
- 81.31°, 1.183 Å, I 13
- 82.51°, 1.169 Å, I 22

---

Record 2
# Tm2FeIr4C4
Simulated X-ray powder pattern, CuKα. Input: a cell relaxed with GGA-PBE.

Crystal structure
```
Tm2FeIr4C4
1.0
0.000 4.781 5.479
2.684 0.000 5.479
2.684 4.781 0.000
Tm Fe Ir C
2 1 4 4
Cartesian
2.684 4.781 1.624
2.684 4.781 9.334
2.684 4.781 5.479
1.342 2.391 0.000
1.342 2.391 2.740
1.342 2.391 5.479
4.026 7.172 8.219
2.684 3.421 4.065
2.684 3.421 6.893
2.684 6.141 4.065
2.684 6.141 6.893
```

Main lines, in order of rising 2θ (2θ = 15–90°):
- 18.56°, 4.781 Å, I 32
- 31.06°, 2.880 Å, I 34
- 37.63°, 2.391 Å, I 50
- 37.85°, 2.377 Å, I 75
- 38.46°, 2.341 Å, I 100
- 41.18°, 2.192 Å, I 20
- 47.42°, 1.917 Å, I 44
- 51.35°, 1.779 Å, I 21
- 62.05°, 1.496 Å, I 35
- 68.47°, 1.370 Å, I 20
- 81.41°, 1.182 Å, I 17
- 82.55°, 1.169 Å, I 17

---

Record 3
# KLaFeC6N6
Simulated X-ray powder pattern, CuKα. Input: a cell relaxed with GGA-PBE.

Crystal structure
```
KLaFeC6N6
1.0
7.123 0.000 0.000
-3.562 6.169 0.000
0.000 0.000 12.157
K La Fe C N
2 2 2 12 12
Cartesian
0.000 4.113 3.039
3.562 2.056 9.118
0.000 4.113 9.118
3.562 2.056 3.039
0.000 0.000 0.000
0.000 0.000 6.079
-0.646 1.401 7.122
-2.672 4.909 11.114
0.646 1.401 11.114
-2.025 6.028 7.122
1.536 0.141 1.043
0.890 1.260 5.035
2.672 4.909 7.122
2.025 6.028 11.114
5.587 0.141 5.035
2.915 4.768 1.043
6.233 1.260 1.043
4.208 4.768 5.035
-1.062 2.306 7.763
-2.096 4.096 10.473
1.062 2.306 10.473
-1.033 5.936 7.763
2.528 0.233 1.684
1.466 2.073 4.395
2.096 4.096 7.763
1.033 5.936 10.473
4.595 0.233 4.395
2.499 3.863 1.684
5.657 2.073 1.684
4.624 3.863 4.395
```

Main lines, in order of rising 2θ (2θ = 15–90°):
- 16.11°, 5.501 Å, I 52
- 20.51°, 4.330 Å, I 100
- 25.00°, 3.562 Å, I 37
- 29.06°, 3.073 Å, I 35
- 32.55°, 2.751 Å, I 21
- 38.96°, 2.312 Å, I 51
- 41.48°, 2.177 Å, I 21
- 44.04°, 2.056 Å, I 20
- 54.15°, 1.694 Å, I 12
- 55.82°, 1.647 Å, I 10
- 60.23°, 1.536 Å, I 13
- 60.53°, 1.530 Å, I 12